(1)
Starting from a cell relaxed with PBE, the X-ray diffraction stick pattern of BaB5O10 was calculated for Cu Ka.
Intensities are scaled so that the largest is 100.

Largest 8 diffraction maxima, sorted by position, 2θ from 10° to 90°:
- 14.84 deg, intensity 55, hkl 0 1 0
- 17.45 deg, intensity 39, hkl -1 1 1
- 17.96 deg, intensity 67, hkl 1 0 1
- 25.89 deg, intensity 70, hkl 1 -2 0
- 26.07 deg, intensity 91, hkl 2 -1 0
- 26.47 deg, intensity 100, hkl 0 0 3
- 30.13 deg, intensity 43, hkl 2 -2 0
- 35.54 deg, intensity 52, hkl 0 0 4

a b c (Å): 6.840 6.895 10.159
angles (deg): 93.79 92.22 119.46
Positions (direct):
Ba1 0.147 0.312 0.375
Ba2 0.853 0.688 0.625
B1 0.186 0.376 0.692
B2 0.249 0.891 0.343
B3 0.294 0.589 0.905
B4 0.374 0.800 0.712
B5 0.435 0.182 0.667
B6 0.565 0.818 0.333
B7 0.626 0.200 0.288
B8 0.706 0.411 0.095
B9 0.751 0.109 0.657
B10 0.814 0.624 0.308
O1 0.029 0.824 0.368
O2 0.192 0.385 0.836
O3 0.207 0.401 0.097
O4 0.213 0.581 0.641
O5 0.294 0.963 0.684
O6 0.306 0.604 0.050
O7 0.332 0.743 0.340
O8 0.375 0.339 0.644
O9 0.387 0.789 0.856
O10 0.394 0.113 0.333
O11 0.606 0.887 0.667
O12 0.613 0.211 0.144
O13 0.625 0.661 0.356
O14 0.668 0.257 0.660
O15 0.694 0.396 0.950
O16 0.706 0.037 0.316
O17 0.787 0.419 0.359
O18 0.793 0.599 0.903
O19 0.808 0.615 0.164
O20 0.971 0.176 0.632


(2)
Starting from a cell relaxed with PBE, the X-ray diffraction stick pattern of BaB4O7 was calculated for Cu Ka.
Intensities are scaled so that the largest is 100.

Largest 8 diffraction maxima, sorted by position, 2θ from 10° to 90°:
- 15.96 deg, intensity 36, hkl 0 2 0
- 21.10 deg, intensity 43, hkl 2 1 0
- 21.95 deg, intensity 43, hkl 0 1 1
- 28.39 deg, intensity 35, hkl 2 0 1
- 31.15 deg, intensity 47, hkl 2 3 0
- 31.74 deg, intensity 50, hkl 0 3 1
- 32.74 deg, intensity 100, hkl 2 2 1
- 43.49 deg, intensity 51, hkl 2 4 1

a b c (Å): 9.098 11.107 4.348
angles (deg): 90.00 90.00 90.00
Positions (direct):
Ba1 0.147 0.250 0.231
Ba2 0.353 0.750 0.731
Ba3 0.647 0.250 0.269
Ba4 0.853 0.750 0.769
B1 0.089 0.626 0.206
B2 0.089 0.874 0.206
B3 0.158 0.001 0.723
B4 0.158 0.499 0.723
B5 0.342 0.501 0.223
B6 0.342 0.999 0.223
B7 0.411 0.126 0.706
B8 0.411 0.374 0.706
B9 0.589 0.626 0.294
B10 0.589 0.874 0.294
B11 0.658 0.001 0.777
B12 0.658 0.499 0.777
B13 0.842 0.501 0.277
B14 0.842 0.999 0.277
B15 0.911 0.126 0.794
B16 0.911 0.374 0.794
O1 0.064 0.104 0.706
O2 0.064 0.396 0.706
O3 0.110 0.606 0.876
O4 0.110 0.894 0.876
O5 0.133 0.750 0.285
O6 0.196 0.538 0.379
O7 0.196 0.962 0.379
O8 0.304 0.038 0.879
O9 0.304 0.462 0.879
O10 0.367 0.250 0.785
O11 0.390 0.106 0.376
O12 0.390 0.394 0.376
O13 0.436 0.604 0.206
O14 0.436 0.896 0.206
O15 0.564 0.104 0.794
O16 0.564 0.396 0.794
O17 0.610 0.606 0.624
O18 0.610 0.894 0.624
O19 0.633 0.750 0.215
O20 0.696 0.538 0.121
O21 0.696 0.962 0.121
O22 0.804 0.038 0.621
O23 0.804 0.462 0.621
O24 0.867 0.250 0.715
O25 0.890 0.106 0.124
O26 0.890 0.394 0.124
O27 0.936 0.604 0.294
O28 0.936 0.896 0.294


(3)
Starting from a cell relaxed with PBE, the X-ray diffraction stick pattern of BaBO3 was calculated for Cu Ka.
Intensities are scaled so that the largest is 100.

Largest 8 diffraction maxima, sorted by position, 2θ from 10° to 90°:
- 23.57 deg, intensity 89, hkl 1 0 0
- 33.58 deg, intensity 100, hkl 1 1 0
- 41.44 deg, intensity 72, hkl 1 1 1
- 48.23 deg, intensity 40, hkl 2 0 0
- 54.36 deg, intensity 41, hkl 2 1 0
- 60.05 deg, intensity 38, hkl 2 1 1
- 70.59 deg, intensity 23, hkl 2 2 0
- 85.30 deg, intensity 24, hkl 3 1 1

a b c (Å): 3.774 3.774 3.774
angles (deg): 90.00 90.00 90.00
Positions (direct):
Ba1 0.000 0.000 0.000
B1 0.500 0.500 0.500
O1 0.000 0.500 0.500
O2 0.500 0.000 0.500
O3 0.500 0.500 0.000